This entry pairs a crystal structure of KCoCl2 with its simulated powder diffractogram. Radiation: a wavelength of 1.5418 Å. Structure: a GGA-PBE-relaxed structure.

Structural model:
```
8
Lattice="3.719 0.000 0.000 0.000 9.584 0.000 0.000 0.000 7.684" Properties=species:S:1:pos:R:3 pbc="T T T"
K 0.000 0.000 0.000
K 1.859 4.792 0.000
Co 0.000 0.000 3.842
Co 1.859 4.792 3.842
Cl 0.000 4.792 2.315
Cl 0.000 4.792 5.368
Cl 1.859 0.000 2.315
Cl 1.859 0.000 5.368
```

Main lines, by intensity (10 to 90 degrees two-theta):
Position (°2θ)	d_spacing	I (rel.)
18.52	4.792	100
34.86	2.574	62
44.19	2.050	30
11.52	7.684	18
37.54	2.396	15
59.33	1.558	11
52.81	1.734	10
21.86	4.066	8